Diffraction record for PaCuAg2O6. The powder diffractogram is computed, not measured: it uses a cell relaxed with GGA-PBE and Cu Kα X-rays.
Intensities are scaled so that the largest is 100.

Top 6 peaks for 10 to 90 degrees two-theta, low angle first:
2theta, Rel. int.
20.3, 34
29.0, 72
29.3, 74
30.1, 100
31.4, 40
48.7, 33

Cell: 4.9250 5.6946 6.2881 Å, 63.31 68.78 89.42°
Fractional coordinates of all 10 atoms:
Pa  0.0000  0.0000  0.0000
Cu  0.5033  0.5117  0.9951
Ag  0.2222  0.6353  0.5841
Ag  0.7741  0.2159  0.4281
O  0.0021  0.2645  0.6311
O  0.0110  0.8861  0.3634
O  0.3498  0.8101  0.8275
O  0.3555  0.3444  0.8572
O  0.6475  0.2067  0.1448
O  0.6593  0.6593  0.1458

---

Diffraction record for PmCuAg2O4. The powder diffractogram is computed, not measured: it uses a cell relaxed with GGA-PBE and Cu Kα X-rays.
Intensities are scaled so that the largest is 100.

Top 6 peaks for 10 to 90 degrees two-theta, low angle first:
2theta, Rel. int.
29.8, 70
36.0, 100
42.7, 36
57.1, 58
70.3, 14
89.2, 14

Cell: 5.9919 5.9919 6.1639 Å, 90.00 90.00 90.00°
Fractional coordinates of all 16 atoms:
Pm  0.0000  0.0000  0.0000
Pm  0.5000  0.5000  0.5000
Cu  0.0000  0.0000  0.5000
Cu  0.5000  0.5000  0.0000
Ag  0.0000  0.5000  0.2500
Ag  0.0000  0.5000  0.7500
Ag  0.5000  0.0000  0.2500
Ag  0.5000  0.0000  0.7500
O  0.1814  0.1814  0.7138
O  0.1814  0.8186  0.2862
O  0.3186  0.3186  0.2138
O  0.3186  0.6814  0.7862
O  0.6814  0.3186  0.7862
O  0.6814  0.6814  0.2138
O  0.8186  0.1814  0.2862
O  0.8186  0.8186  0.7138

---

Diffraction record for PmCu4Ag3O12. The powder diffractogram is computed, not measured: it uses a cell relaxed with GGA-PBE and Cu Kα X-rays.
Intensities are scaled so that the largest is 100.

Top 6 peaks for 10 to 90 degrees two-theta, low angle first:
2theta, Rel. int.
23.6, 7
33.6, 100
48.3, 25
60.1, 44
70.6, 13
80.5, 16

Cell: 6.5324 6.5324 6.5324 Å, 109.47 109.47 109.47°
Fractional coordinates of all 20 atoms:
Pm  0.0000  0.0000  0.0000
Cu  0.0000  0.0000  0.5000
Cu  0.0000  0.5000  0.0000
Cu  0.5000  0.0000  0.0000
Cu  0.5000  0.5000  0.5000
Ag  0.0000  0.5000  0.5000
Ag  0.5000  0.0000  0.5000
Ag  0.5000  0.5000  0.0000
O  0.1141  0.2937  0.8204
O  0.1796  0.4733  0.2937
O  0.1796  0.8859  0.7063
O  0.2937  0.1796  0.4733
O  0.2937  0.8204  0.1141
O  0.4733  0.2937  0.1796
O  0.5267  0.7063  0.8204
O  0.7063  0.1796  0.8859
O  0.7063  0.8204  0.5267
O  0.8204  0.1141  0.2937
O  0.8204  0.5267  0.7063
O  0.8859  0.7063  0.1796

---

Diffraction record for CuAg2PtO4. The powder diffractogram is computed, not measured: it uses a cell relaxed with GGA-PBE and Cu Kα X-rays.
Intensities are scaled so that the largest is 100.

Top 6 peaks for 10 to 90 degrees two-theta, low angle first:
2theta, Rel. int.
26.8, 49
28.0, 72
36.2, 100
39.2, 37
53.7, 43
55.1, 29

Cell: 5.8984 6.3635 6.6554 Å, 90.00 90.00 90.00°
Fractional coordinates of all 16 atoms:
Cu  0.0000  0.0000  0.0000
Cu  0.5000  0.5000  0.5000
Ag  0.2501  0.0000  0.5000
Ag  0.2499  0.5000  0.0000
Ag  0.7499  0.0000  0.5000
Ag  0.7501  0.5000  0.0000
Pt  0.0000  0.5000  0.5000
Pt  0.5000  0.0000  0.0000
O  0.2408  0.0000  0.1870
O  0.2408  0.0000  0.8130
O  0.2592  0.5000  0.3130
O  0.2592  0.5000  0.6870
O  0.7408  0.5000  0.3130
O  0.7408  0.5000  0.6870
O  0.7592  0.0000  0.1870
O  0.7592  0.0000  0.8130

---

Diffraction record for CuRe2AgO8. The powder diffractogram is computed, not measured: it uses a cell relaxed with GGA-PBE and Cu Kα X-rays.
Intensities are scaled so that the largest is 100.

Top 6 peaks for 10 to 90 degrees two-theta, low angle first:
2theta, Rel. int.
20.2, 21
24.9, 100
25.4, 49
27.8, 38
31.6, 26
42.6, 30

Cell: 6.5222 6.5222 7.1281 Å, 113.84 113.84 51.39°
Fractional coordinates of all 12 atoms:
Cu  0.0000  0.0000  0.0000
Re  0.2963  0.2963  0.7615
Re  0.7037  0.7037  0.2385
Ag  0.5000  0.5000  0.5000
O  0.1113  0.6173  0.9166
O  0.1321  0.1321  0.6729
O  0.3307  0.3307  0.5419
O  0.3827  0.8887  0.0834
O  0.6173  0.1113  0.9166
O  0.6693  0.6693  0.4581
O  0.8679  0.8679  0.3271
O  0.8887  0.3827  0.0834

---

Diffraction record for CuAgSO4. The powder diffractogram is computed, not measured: it uses a cell relaxed with GGA-PBE and Cu Kα X-rays.
Intensities are scaled so that the largest is 100.

Top 6 peaks for 10 to 90 degrees two-theta, low angle first:
2theta, Rel. int.
21.5, 48
21.8, 68
31.0, 70
37.5, 100
50.0, 30
59.5, 51

Cell: 5.7641 5.7641 5.9440 Å, 90.00 90.00 90.00°
Fractional coordinates of all 14 atoms:
Cu  0.0000  0.0000  0.0000
Cu  0.5000  0.5000  0.5000
Ag  0.0000  0.0000  0.5000
Ag  0.5000  0.5000  0.0000
S  0.0000  0.5000  0.2500
S  0.5000  0.0000  0.7500
O  0.1256  0.3256  0.1070
O  0.1744  0.6256  0.3930
O  0.3256  0.8744  0.8930
O  0.3744  0.1744  0.6070
O  0.6256  0.8256  0.6070
O  0.6744  0.1256  0.8930
O  0.8256  0.3744  0.3930
O  0.8744  0.6744  0.1070